Record 1
The following is a simulated XRD peak list of Pu2Tc2P2N. It was derived from a structure optimized by DFT (GGA-PBE), using Cu Kα X-rays.

abc: 11.7847 3.2701 5.9838
angles: 90.00 108.66 90.00
Atoms (fractional coordinates):
Pu: 0.0144 0.0000 0.2412
Pu: 0.4856 0.5000 0.7588
Pu: 0.5144 0.5000 0.2412
Pu: 0.9856 0.0000 0.7588
Tc: 0.2016 0.5000 0.6734
Tc: 0.2984 0.0000 0.3266
Tc: 0.7016 0.0000 0.6734
Tc: 0.7984 0.5000 0.3266
P: 0.1773 0.5000 0.0726
P: 0.3227 0.0000 0.9274
P: 0.6773 0.0000 0.0726
P: 0.8227 0.5000 0.9274
N: 0.0000 0.5000 0.5000
N: 0.5000 0.0000 0.5000

Main lines, in order of rising 2θ (2θ = 10–90°):
- 2θ 15.87, intensity 59
- 2θ 28.44, intensity 58
- 2θ 31.56, intensity 48
- 2θ 32.06, intensity 42
- 2θ 36.58, intensity 100
- 2θ 37.29, intensity 47
- 2θ 40.01, intensity 24
- 2θ 40.94, intensity 73
- 2θ 43.35, intensity 22
- 2θ 54.34, intensity 35

---

Record 2
The following is a simulated XRD peak list of CsCuI2. It was derived from a structure optimized by DFT (GGA-PBE), using Cu Kα X-rays.

abc: 10.7804 10.7804 9.2070
angles: 90.00 90.00 136.00
Atoms (fractional coordinates):
Cs: 0.1326 0.8674 0.9541
Cs: 0.3674 0.6326 0.4541
Cs: 0.6326 0.3674 0.5459
Cs: 0.8674 0.1326 0.0459
Cu: 0.0791 0.9209 0.3657
Cu: 0.4209 0.5791 0.8657
Cu: 0.5791 0.4209 0.1343
Cu: 0.9209 0.0791 0.6343
I: 0.1752 0.8248 0.5382
I: 0.2305 0.2695 0.7500
I: 0.2695 0.2305 0.2500
I: 0.3248 0.6752 0.0382
I: 0.6752 0.3248 0.9618
I: 0.7305 0.7695 0.7500
I: 0.7695 0.7305 0.2500
I: 0.8248 0.1752 0.4618

Main lines, in order of rising 2θ (2θ = 10–90°):
- 2θ 20.22, intensity 44
- 2θ 21.25, intensity 79
- 2θ 22.01, intensity 35
- 2θ 23.76, intensity 43
- 2θ 25.98, intensity 34
- 2θ 26.32, intensity 70
- 2θ 26.72, intensity 47
- 2θ 28.42, intensity 100
- 2θ 29.42, intensity 97
- 2θ 40.19, intensity 41

---

Record 3
The following is a simulated XRD peak list of Dy7Y3Er. It was derived from a structure optimized by DFT (GGA-PBE), using Cu Kα X-rays.

abc: 8.4077 8.4077 5.7868
angles: 110.10 110.10 82.85
Atoms (fractional coordinates):
Dy: 0.0000 0.0000 0.0000
Dy: 0.0985 0.5059 0.3025
Dy: 0.2895 0.2895 0.7905
Dy: 0.4941 0.9015 0.6975
Dy: 0.5059 0.0985 0.3025
Dy: 0.7105 0.7105 0.2095
Dy: 0.9015 0.4941 0.6975
Y: 0.2934 0.7066 0.0000
Y: 0.5000 0.5000 0.5000
Y: 0.7066 0.2934 0.0000
Er: 0.0000 0.0000 0.5000

Main lines, in order of rising 2θ (2θ = 10–90°):
- 2θ 22.52, intensity 13
- 2θ 25.15, intensity 19
- 2θ 25.30, intensity 12
- 2θ 28.59, intensity 15
- 2θ 30.91, intensity 44
- 2θ 31.94, intensity 14
- 2θ 32.18, intensity 19
- 2θ 32.80, intensity 100
- 2θ 45.22, intensity 15
- 2θ 56.18, intensity 21

---

Record 4
The following is a simulated XRD peak list of Sm3Ga8Pd3. It was derived from a structure optimized by DFT (GGA-PBE), using Cu Kα X-rays.

abc: 8.2246 8.2246 9.2464
angles: 123.37 123.37 31.30
Atoms (fractional coordinates):
Sm: 0.0000 0.0000 0.0000
Sm: 0.2922 0.2922 0.2981
Sm: 0.7078 0.7078 0.7019
Ga: 0.1404 0.1404 0.4274
Ga: 0.1492 0.1492 0.8664
Ga: 0.3467 0.3467 0.7163
Ga: 0.4968 0.4968 0.3222
Ga: 0.5032 0.5032 0.6778
Ga: 0.6533 0.6533 0.2837
Ga: 0.8508 0.8508 0.1336
Ga: 0.8596 0.8596 0.5726
Pd: 0.0000 0.0000 0.5000
Pd: 0.3497 0.3497 0.9938
Pd: 0.6503 0.6503 0.0062

Main lines, in order of rising 2θ (2θ = 10–90°):
- 2θ 28.80, intensity 42
- 2θ 33.96, intensity 28
- 2θ 34.66, intensity 69
- 2θ 35.03, intensity 65
- 2θ 35.47, intensity 100
- 2θ 35.71, intensity 37
- 2θ 38.32, intensity 26
- 2θ 40.67, intensity 74
- 2θ 41.68, intensity 31
- 2θ 67.60, intensity 31